[1]
The following is a theoretical powder diffractogram of NaNpSn2I8. It was derived from a DFT-relaxed cell (PBE, Alexandria), using Cu Kα (weighted mean of Kα1 and Kα2).
Neutral-atom scattering factors, no anomalous dispersion.

Main lines, by intensity (15 to 90 degrees two-theta):
d = 2.687 Å, rel. 100.0
d = 3.484 Å, rel. 94.3
d = 2.256 Å, rel. 91.7
d = 3.512 Å, rel. 91.3
d = 2.711 Å, rel. 71.7
d = 3.454 Å, rel. 54.7
d = 3.402 Å, rel. 51.2
d = 2.317 Å, rel. 48.0
d = 5.283 Å, rel. 46.7
d = 5.382 Å, rel. 45.1

Structural model:
Cell: 7.348 9.270 7.752 Å, 90.00 91.06 90.00°
Sites, in units of the cell vectors:
Na: 0.000 0.000 0.000
Np: 0.000 0.500 0.000
Sn: 0.500 0.244 0.500
Sn: 0.500 0.756 0.500
I: 0.241 0.500 0.671
I: 0.246 0.257 0.154
I: 0.246 0.743 0.154
I: 0.263 0.000 0.650
I: 0.737 0.000 0.350
I: 0.754 0.257 0.846
I: 0.754 0.743 0.846
I: 0.759 0.500 0.329



[2]
The following is a theoretical powder diffractogram of Pr4Sn5Bi. It was derived from a DFT-relaxed cell (PBE, Alexandria), using Cu Kα (weighted mean of Kα1 and Kα2).
Neutral-atom scattering factors, no anomalous dispersion.

Main lines, by intensity (15 to 90 degrees two-theta):
d = 2.614 Å, rel. 100.0
d = 3.002 Å, rel. 69.4
d = 2.262 Å, rel. 30.3
d = 3.394 Å, rel. 26.7
d = 2.839 Å, rel. 19.1
d = 2.752 Å, rel. 18.7
d = 3.445 Å, rel. 18.7
d = 1.412 Å, rel. 17.9
d = 1.335 Å, rel. 16.6
d = 2.030 Å, rel. 14.5

Structural model:
Cell: 11.356 12.024 4.524 Å, 90.00 90.00 90.00°
Sites, in units of the cell vectors:
Pr: 0.025 0.250 0.249
Pr: 0.250 0.568 0.250
Pr: 0.250 0.932 0.250
Pr: 0.475 0.250 0.249
Pr: 0.525 0.750 0.751
Pr: 0.750 0.068 0.750
Pr: 0.750 0.432 0.750
Pr: 0.975 0.750 0.751
Sn: 0.066 0.047 0.750
Sn: 0.066 0.453 0.750
Sn: 0.250 0.750 0.750
Sn: 0.434 0.047 0.750
Sn: 0.434 0.453 0.750
Sn: 0.566 0.547 0.250
Sn: 0.566 0.953 0.250
Sn: 0.750 0.250 0.250
Sn: 0.934 0.547 0.250
Sn: 0.934 0.953 0.250
Bi: 0.250 0.250 0.748
Bi: 0.750 0.750 0.252



[3]
The following is a theoretical powder diffractogram of Er4Cu2Sn. It was derived from a DFT-relaxed cell (PBE, Alexandria), using Cu Kα (weighted mean of Kα1 and Kα2).
Neutral-atom scattering factors, no anomalous dispersion.

Main lines, by intensity (15 to 90 degrees two-theta):
d = 2.748 Å, rel. 100.0
d = 2.695 Å, rel. 99.7
d = 2.486 Å, rel. 86.7
d = 2.721 Å, rel. 79.2
d = 3.042 Å, rel. 56.4
d = 3.225 Å, rel. 38.1
d = 2.527 Å, rel. 32.1
d = 2.168 Å, rel. 28.3
d = 3.062 Å, rel. 26.2
d = 2.064 Å, rel. 24.8

Structural model:
Cell: 8.580 8.580 6.837 Å, 107.85 107.85 120.61°
Sites, in units of the cell vectors:
Er: 0.026 0.974 0.500
Er: 0.197 0.688 0.353
Er: 0.432 0.505 0.633
Er: 0.505 0.432 0.133
Er: 0.572 0.911 0.158
Er: 0.688 0.197 0.853
Er: 0.911 0.572 0.658
Er: 0.974 0.026 0.000
Cu: 0.307 0.979 0.868
Cu: 0.632 0.812 0.526
Cu: 0.812 0.632 0.026
Cu: 0.979 0.307 0.368
Sn: 0.107 0.384 0.836
Sn: 0.384 0.107 0.336